Diffraction record for La2MgHg3. The XRD peak list is computed, not measured: it uses a PBE-relaxed structure and Cu Kα X-rays.
Neutral-atom scattering factors, no anomalous dispersion.

Structural model:
a = 5.295 Å, b = 5.295 Å, c = 13.530 Å
α = 90.00°, β = 90.00°, γ = 120.00°
Sites, in units of the cell vectors:
La (0.000, 0.000, 0.000)
La (0.000, 0.000, 0.500)
La (0.333, 0.667, 0.187)
La (0.667, 0.333, 0.813)
Mg (0.333, 0.667, 0.658)
Mg (0.667, 0.333, 0.342)
Hg (0.000, 0.000, 0.258)
Hg (0.000, 0.000, 0.742)
Hg (0.333, 0.667, 0.421)
Hg (0.333, 0.667, 0.908)
Hg (0.667, 0.333, 0.092)
Hg (0.667, 0.333, 0.579)

Peak list (10 most intense, 2θ from 10° to 90°, sorted by position)
index  2θ (°)  Rel. int.
0 1 2  23.44  30
1 0 4  32.90  100
1 1 0  33.86  99
0 2 4  47.93  35
0 1 8  58.14  17
2 1 4  59.97  36
3 0 0  60.57  19
2 2 0  71.23  12
1 2 8  79.12  14
1 3 4  80.71  16